The following is a theoretical powder X-ray diffraction pattern of B2C. It was derived from a crystal structure in Alexandria, relaxed with GGA-PBE, using Cu Kα (weighted mean of Kα1 and Kα2).

Main lines, sorted by position (10° ≤ 2θ ≤ 90°):
| h k l | 2θ (°) | d (Å) | intensity |
| --- | --- | --- | --- |
| 0 0 1 | 10.77 | 8.211 | 100 |
| 0 0 2 | 21.65 | 4.106 | 56 |
| 2 0 0 | 38.83 | 2.319 | 9 |
| 1 1 -1 | 39.03 | 2.308 | 19 |
| 1 1 1 | 41.28 | 2.187 | 7 |
| 1 1 -2 | 42.57 | 2.123 | 7 |
| 0 0 4 | 44.12 | 2.053 | 10 |
| 3 1 -1 | 68.89 | 1.363 | 8 |

Cell and atoms:
```
data_B2C
_chemical_formula_sum 'B8 C4'
_symmetry_space_group_name_H-M 'C 1 m 1'
_symmetry_Int_Tables_number 8
_cell_length_a 4.737
_cell_length_b 2.701
_cell_length_c 8.384
_cell_angle_alpha 90.00
_cell_angle_beta 101.68
_cell_angle_gamma 90.00
loop_
_symmetry_equiv_pos_as_xyz
'x,y,z'
'x,-y,z'
'x+1/2,y+1/2,z'
'x+1/2,-y+1/2,z'
loop_
_atom_site_label
_atom_site_type_symbol
_atom_site_fract_x
_atom_site_fract_y
_atom_site_fract_z
B1 B 0.000 0.000 0.000
B2 B 0.016 0.500 0.531
B3 B 0.276 0.500 0.327
B4 B 0.408 0.000 0.205
C1 C 0.337 0.000 0.014
C2 C 0.343 0.500 0.517
```

=====

The following is a theoretical powder X-ray diffraction pattern of Ba3ZnH. It was derived from a crystal structure in Alexandria, relaxed with GGA-PBE, using Cu Kα (weighted mean of Kα1 and Kα2).

Main lines, sorted by position (10° ≤ 2θ ≤ 90°):
| h k l | 2θ (°) | d (Å) | intensity |
| --- | --- | --- | --- |
| 1 2 0 | 25.59 | 3.481 | 77 |
| 0 3 1 | 26.19 | 3.402 | 100 |
| 1 0 -2 | 26.38 | 3.379 | 68 |
| 1 1 1 | 27.52 | 3.241 | 88 |
| 1 3 0 | 31.06 | 2.879 | 53 |
| 2 0 -1 | 39.32 | 2.292 | 48 |
| 1 3 2 | 43.13 | 2.097 | 39 |
| 2 3 -2 | 47.86 | 1.901 | 38 |

Cell and atoms:
```
data_Ba3ZnH
_chemical_formula_sum 'Ba6 Zn2 H2'
_symmetry_space_group_name_H-M 'P 1 21/m 1'
_symmetry_Int_Tables_number 11
_cell_length_a 4.584
_cell_length_b 11.453
_cell_length_c 7.840
_cell_angle_alpha 90.00
_cell_angle_beta 106.95
_cell_angle_gamma 90.00
loop_
_symmetry_equiv_pos_as_xyz
'x,y,z'
'-x,-y,-z'
'-x,y+1/2,-z'
'x,-y+1/2,z'
loop_
_atom_site_label
_atom_site_type_symbol
_atom_site_fract_x
_atom_site_fract_y
_atom_site_fract_z
Ba1 Ba 0.062 0.250 0.125
Ba2 Ba 0.358 0.077 0.715
Zn1 Zn 0.253 0.750 0.507
H1 H 0.474 0.250 0.949
```

=====

The following is a theoretical powder X-ray diffraction pattern of LiSnPCO7. It was derived from a crystal structure in Alexandria, relaxed with GGA-PBE, using Cu Kα (weighted mean of Kα1 and Kα2).

Main lines, sorted by position (10° ≤ 2θ ≤ 90°):
| h k l | 2θ (°) | d (Å) | intensity |
| --- | --- | --- | --- |
| 0 0 1 | 10.20 | 8.671 | 86 |
| 0 1 1 | 16.96 | 5.226 | 96 |
| 1 0 -1 | 19.45 | 4.564 | 59 |
| 1 0 1 | 21.05 | 4.220 | 100 |
| 1 1 0 | 22.15 | 4.013 | 38 |
| 1 0 -2 | 25.80 | 3.454 | 41 |
| 0 2 0 | 27.23 | 3.275 | 89 |
| 1 1 3 | 39.69 | 2.271 | 38 |

Cell and atoms:
```
data_LiSnPCO7
_chemical_formula_sum 'Li2 Sn2 P2 C2 O14'
_symmetry_space_group_name_H-M 'P 1 21/m 1'
_symmetry_Int_Tables_number 11
_cell_length_a 5.098
_cell_length_b 6.550
_cell_length_c 8.706
_cell_angle_alpha 90.00
_cell_angle_beta 95.15
_cell_angle_gamma 90.00
loop_
_symmetry_equiv_pos_as_xyz
'x,y,z'
'-x,-y,-z'
'-x,y+1/2,-z'
'x,-y+1/2,z'
loop_
_atom_site_label
_atom_site_type_symbol
_atom_site_fract_x
_atom_site_fract_y
_atom_site_fract_z
Li1 Li 0.163 0.250 0.102
Sn1 Sn 0.220 0.750 0.325
P1 P 0.257 0.250 0.418
C1 C 0.375 0.750 0.053
O1 O 0.110 0.250 0.563
O2 O 0.116 0.750 0.077
O3 O 0.185 0.067 0.308
O4 O 0.444 0.750 0.532
O5 O 0.457 0.750 0.923
O6 O 0.471 0.250 0.816
```

=====

The following is a theoretical powder X-ray diffraction pattern of K3Np3TaSe8. It was derived from a crystal structure in Alexandria, relaxed with GGA-PBE, using Cu Kα (weighted mean of Kα1 and Kα2).

Main lines, sorted by position (10° ≤ 2θ ≤ 90°):
| h k l | 2θ (°) | d (Å) | intensity |
| --- | --- | --- | --- |
| 0 0 3 | 11.17 | 7.918 | 100 |
| 0 2 1 | 25.48 | 3.496 | 24 |
| 0 2 4 | 29.41 | 3.037 | 91 |
| 0 2 7 | 36.71 | 2.448 | 28 |
| 2 0 8 | 39.64 | 2.274 | 33 |
| 2 2 0 | 44.39 | 2.041 | 31 |
| 0 0 12 | 45.90 | 1.977 | 25 |
| 4 0 4 | 54.14 | 1.694 | 16 |

Cell and atoms:
```
data_K3Np3TaSe8
_chemical_formula_sum 'K9 Np9 Ta3 Se24'
_symmetry_space_group_name_H-M 'R -3 m'
_symmetry_Int_Tables_number 166
_symmetry_space_group_name_Hall '-R 3 2"'
_cell_length_a 8.1633
_cell_length_b 8.1633
_cell_length_c 23.7536
_cell_angle_alpha 90.00
_cell_angle_beta 90.00
_cell_angle_gamma 120.00
loop_
_atom_site_label
_atom_site_type_symbol
_atom_site_fract_x
_atom_site_fract_y
_atom_site_fract_z
K1 K 0.0000 0.5000 0.0000
Np1 Np 0.0000 0.5000 0.5000
Ta1 Ta 0.0000 0.0000 0.5000
Se1 Se 0.0000 0.0000 0.2368
Se2 Se 0.0229 0.5114 0.2318
```

=====

The following is a theoretical powder X-ray diffraction pattern of HfGa3I7. It was derived from a crystal structure in Alexandria, relaxed with GGA-PBE, using Cu Kα (weighted mean of Kα1 and Kα2).

Main lines, sorted by position (10° ≤ 2θ ≤ 90°):
| h k l | 2θ (°) | d (Å) | intensity |
| --- | --- | --- | --- |
| 1 1 0 | 11.35 | 7.797 | 31 |
| 2 0 0 | 12.00 | 7.374 | 57 |
| 0 2 1 | 22.79 | 3.903 | 12 |
| 2 2 -1 | 23.79 | 3.740 | 13 |
| 2 2 1 | 27.72 | 3.218 | 100 |
| 2 2 -3 | 39.53 | 2.280 | 23 |
| 6 2 -1 | 39.67 | 2.272 | 23 |
| 4 0 2 | 40.02 | 2.253 | 15 |

Cell and atoms:
```
data_HfGa3I7
_chemical_formula_sum 'Hf2 Ga6 I14'
_symmetry_space_group_name_H-M 'C 1 m 1'
_symmetry_Int_Tables_number 8
_cell_length_a 15.685
_cell_length_b 9.189
_cell_length_c 7.878
_cell_angle_alpha 90.00
_cell_angle_beta 110.05
_cell_angle_gamma 90.00
loop_
_symmetry_equiv_pos_as_xyz
'x,y,z'
'x,-y,z'
'x+1/2,y+1/2,z'
'x+1/2,-y+1/2,z'
loop_
_atom_site_label
_atom_site_type_symbol
_atom_site_fract_x
_atom_site_fract_y
_atom_site_fract_z
Hf1 Hf 0.000 0.000 0.000
Ga1 Ga 0.008 0.247 0.512
Ga2 Ga 0.009 0.500 0.984
I1 I 0.113 0.000 0.769
I2 I 0.116 0.218 0.218
I3 I 0.123 0.500 0.756
I4 I 0.389 0.280 0.772
I5 I 0.389 0.500 0.214
```

=====

The following is a theoretical powder X-ray diffraction pattern of BaTl3Hg6. It was derived from a crystal structure in Alexandria, relaxed with GGA-PBE, using Cu Kα (weighted mean of Kα1 and Kα2).

Main lines, sorted by position (10° ≤ 2θ ≤ 90°):
| h k l | 2θ (°) | d (Å) | intensity |
| --- | --- | --- | --- |
| 2 3 0 | 28.85 | 3.095 | 17 |
| 1 4 0 | 30.27 | 2.953 | 44 |
| 0 0 2 | 33.30 | 2.690 | 62 |
| 2 3 1 | 33.42 | 2.681 | 100 |
| 3 1 1 | 34.24 | 2.619 | 82 |
| 1 4 2 | 45.62 | 1.989 | 30 |
| 2 3 3 | 59.59 | 1.551 | 21 |
| 3 1 3 | 60.12 | 1.539 | 17 |

Cell and atoms:
```
data_BaTl3Hg6
_chemical_formula_sum 'Ba2 Tl6 Hg12'
_symmetry_space_group_name_H-M 'P n n m'
_symmetry_Int_Tables_number 58
_cell_length_a 9.265
_cell_length_b 12.461
_cell_length_c 5.381
_cell_angle_alpha 90.00
_cell_angle_beta 90.00
_cell_angle_gamma 90.00
loop_
_symmetry_equiv_pos_as_xyz
'x,y,z'
'-x,-y,-z'
'-x,-y,z'
'x,y,-z'
'x+1/2,-y+1/2,-z+1/2'
'-x+1/2,y+1/2,z+1/2'
'-x+1/2,y+1/2,-z+1/2'
'x+1/2,-y+1/2,z+1/2'
loop_
_atom_site_label
_atom_site_type_symbol
_atom_site_fract_x
_atom_site_fract_y
_atom_site_fract_z
Ba1 Ba 0.000 0.000 0.000
Tl1 Tl 0.000 0.500 0.500
Tl2 Tl 0.197 0.454 0.000
Hg1 Hg 0.071 0.722 0.000
Hg2 Hg 0.077 0.174 0.500
Hg3 Hg 0.229 0.696 0.500
```

=====

The following is a theoretical powder X-ray diffraction pattern of Ac2La3Pr4. It was derived from a crystal structure in Alexandria, relaxed with GGA-PBE, using Cu Kα (weighted mean of Kα1 and Kα2).

Main lines, sorted by position (10° ≤ 2θ ≤ 90°):
| h k l | 2θ (°) | d (Å) | intensity |
| --- | --- | --- | --- |
| 3 1 0 | 28.84 | 3.096 | 100 |
| 4 0 -3 | 29.00 | 3.079 | 33 |
| 1 1 -3 | 33.39 | 2.684 | 46 |
| 6 0 0 | 33.62 | 2.666 | 22 |
| 2 0 -6 | 48.01 | 1.895 | 25 |
| 7 1 -3 | 48.23 | 1.887 | 16 |
| 2 2 3 | 56.86 | 1.619 | 20 |
| 5 1 -6 | 57.10 | 1.613 | 15 |

Cell and atoms:
```
data_Ac2La3Pr4
_chemical_formula_sum 'Ac4 La6 Pr8'
_symmetry_space_group_name_H-M 'C 1 2/m 1'
_symmetry_Int_Tables_number 12
_cell_length_a 16.413
_cell_length_b 3.802
_cell_length_c 11.367
_cell_angle_alpha 90.00
_cell_angle_beta 102.98
_cell_angle_gamma 90.00
loop_
_symmetry_equiv_pos_as_xyz
'x,y,z'
'-x,-y,-z'
'-x,y,-z'
'x,-y,z'
'x+1/2,y+1/2,z'
'-x+1/2,-y+1/2,-z'
'-x+1/2,y+1/2,-z'
'x+1/2,-y+1/2,z'
loop_
_atom_site_label
_atom_site_type_symbol
_atom_site_fract_x
_atom_site_fract_y
_atom_site_fract_z
Ac1 Ac 0.167 0.000 0.223
La1 La 0.000 0.500 0.000
La2 La 0.164 0.000 0.554
Pr1 Pr 0.002 0.500 0.667
Pr2 Pr 0.165 0.000 0.889
```

=====

The following is a theoretical powder X-ray diffraction pattern of ZrBe17Cr. It was derived from a crystal structure in Alexandria, relaxed with GGA-PBE, using Cu Kα (weighted mean of Kα1 and Kα2).

Main lines, sorted by position (10° ≤ 2θ ≤ 90°):
| h k l | 2θ (°) | d (Å) | intensity |
| --- | --- | --- | --- |
| 1 0 1 | 16.10 | 5.504 | 73 |
| 0 1 2 | 21.56 | 4.122 | 39 |
| 1 1 0 | 24.08 | 3.696 | 94 |
| 0 0 3 | 24.79 | 3.592 | 30 |
| 1 1 3 | 34.83 | 2.576 | 100 |
| 3 0 0 | 42.35 | 2.134 | 39 |
| 2 2 0 | 49.31 | 1.848 | 33 |
| 3 0 3 | 49.70 | 1.835 | 60 |

Cell and atoms:
```
data_ZrBe17Cr
_chemical_formula_sum 'Zr3 Be51 Cr3'
_symmetry_space_group_name_H-M 'R 3 m'
_symmetry_Int_Tables_number 160
_symmetry_space_group_name_Hall 'R 3 -2"'
_cell_length_a 7.3926
_cell_length_b 7.3926
_cell_length_c 10.7747
_cell_angle_alpha 90.00
_cell_angle_beta 90.00
_cell_angle_gamma 120.00
loop_
_atom_site_label
_atom_site_type_symbol
_atom_site_fract_x
_atom_site_fract_y
_atom_site_fract_z
Zr1 Zr 0.0000 0.0000 0.0000
Be1 Be 0.0000 0.0000 0.2440
Be2 Be 0.0000 0.0000 0.4409
Be3 Be 0.0042 0.5021 0.1849
Be4 Be 0.0053 0.2971 0.3390
Be5 Be 0.0046 0.5023 0.8377
Be6 Be 0.0090 0.5045 0.4942
Cr1 Cr 0.0000 0.0000 0.6736
```